Theoretical powder XRD pattern
Compound: Er3Th5S8
Radiation: Cu Kα
Structure: a DFT-relaxed cell (GGA-PBE, Alexandria)
No peak broadening, texture or thermal motion is included.

Peak list (10 most intense, 2θ from 15° to 90°, low angle first)
| d_spacing | I/Imax | h k l |
| --- | --- | --- |
| 3.334 | 26 | 0 0 6 |
| 3.219 | 72 | 2 0 2 |
| 2.812 | 100 | 0 2 4 |
| 2.015 | 38 | 2 0 8 |
| 1.963 | 35 | 2 2 0 |
| 1.724 | 13 | 0 2 10 |
| 1.692 | 25 | 2 2 6 |
| 1.610 | 19 | 4 0 4 |
| 1.271 | 17 | 2 2 12 |
| 1.245 | 16 | 2 4 4 |

Cell and atoms:
a = 7.8529 Å, b = 7.8529 Å, c = 20.0056 Å
α = 90.00°, β = 90.00°, γ = 120.00°
Space group R-3m (No. 166, hexagonal axes)
One atom of each set of equivalent atoms:
Er  0.0000  0.5000  0.0000 (multiplicity 9)
Th  0.0000  0.0000  0.0000 (multiplicity 3)
Th  0.0000  0.0000  0.5000 (multiplicity 3)
Th  0.0000  0.5000  0.5000 (multiplicity 9)
S  0.0000  0.0000  0.2566 (multiplicity 6)
S  0.0089  0.5044  0.2548 (multiplicity 18)


Theoretical powder XRD pattern
Compound: Al6Ag
Radiation: Cu Kα
Structure: a DFT-relaxed cell (GGA-PBE, Alexandria)
No peak broadening, texture or thermal motion is included.

Peak list (10 most intense, 2θ from 15° to 90°, low angle first)
| d_spacing | I/Imax | h k l |
| --- | --- | --- |
| 4.724 | 14 | 0 0 6 |
| 3.543 | 8 | 0 0 8 |
| 2.852 | 17 | 1 0 1 |
| 2.743 | 15 | 1 0 3 |
| 2.558 | 14 | 1 0 5 |
| 2.339 | 100 | 1 0 7 |
| 2.026 | 48 | 1 1 0 |
| 1.433 | 30 | 2 0 0 |
| 1.222 | 35 | 2 1 7 |
| 1.170 | 10 | 2 0 14 |

Cell and atoms:
a = 2.866 Å, b = 2.866 Å, c = 28.342 Å
α = 90.00°, β = 90.00°, γ = 90.00°
Space group I4/mmm (No. 139)
One atom of each set of equivalent atoms:
Al  0.000  0.000  0.072 (multiplicity 4)
Al  0.000  0.000  0.216 (multiplicity 4)
Al  0.000  0.000  0.356 (multiplicity 4)
Ag  0.000  0.000  0.500 (multiplicity 2)


Theoretical powder XRD pattern
Compound: H2S
Radiation: Cu Kα
Structure: a DFT-relaxed cell (GGA-PBE, Alexandria)
No peak broadening, texture or thermal motion is included.

Peak list (10 most intense, 2θ from 15° to 90°, low angle first)
| d_spacing | I/Imax | h k l |
| --- | --- | --- |
| 3.395 | 100 | 1 0 1 |
| 3.329 | 96 | 1 1 0 |
| 3.296 | 96 | 0 1 1 |
| 2.426 | 15 | 2 0 0 |
| 2.377 | 15 | 0 0 2 |
| 2.288 | 14 | 0 2 0 |
| 1.954 | 32 | 2 1 1 |
| 1.934 | 32 | 1 1 2 |
| 1.897 | 30 | 1 2 1 |
| 1.698 | 11 | 2 0 2 |

Cell and atoms:
a = 4.851 Å, b = 4.576 Å, c = 4.753 Å
α = 90.00°, β = 90.00°, γ = 90.00°
Space group Pmn2_1 (No. 31)
One atom of each set of equivalent atoms:
H  0.200  0.131  0.000 (multiplicity 4)
S  0.000  0.252  0.838 (multiplicity 2)


Theoretical powder XRD pattern
Compound: Tb5ZrRh6
Radiation: Cu Kα
Structure: a DFT-relaxed cell (GGA-PBE, Alexandria)
No peak broadening, texture or thermal motion is included.

Peak list (10 most intense, 2θ from 15° to 90°, low angle first)
| d_spacing | I/Imax | h k l |
| --- | --- | --- |
| 3.382 | 3 | 2 0 1 |
| 2.430 | 100 | 2 2 1 |
| 2.391 | 48 | 2 0 -2 |
| 1.747 | 9 | 0 4 0 |
| 1.691 | 16 | 4 0 2 |
| 1.411 | 17 | 2 4 -2 |
| 1.388 | 33 | 0 2 3 |
| 1.215 | 10 | 4 4 2 |
| 1.196 | 3 | 4 0 -4 |
| 1.101 | 8 | 2 6 1 |

Cell and atoms:
a = 15.113 Å, b = 6.989 Å, c = 4.785 Å
α = 90.00°, β = 108.40°, γ = 90.00°
Space group C2/m (No. 12)
One atom of each set of equivalent atoms:
Tb  0.000  0.000  0.000 (multiplicity 2)
Tb  0.166  0.000  0.665 (multiplicity 4)
Tb  0.168  0.500  0.668 (multiplicity 4)
Zr  0.000  0.500  0.000 (multiplicity 2)
Rh  0.000  0.268  0.500 (multiplicity 4)
Rh  0.160  0.259  0.160 (multiplicity 8)


Theoretical powder XRD pattern
Compound: Nd4Te3Au
Radiation: Cu Kα
Structure: a DFT-relaxed cell (GGA-PBE, Alexandria)
No peak broadening, texture or thermal motion is included.

Peak list (10 most intense, 2θ from 15° to 90°, low angle first)
| d_spacing | I/Imax | h k l |
| --- | --- | --- |
| 3.166 | 51 | 0 4 0 |
| 3.151 | 100 | 2 0 1 |
| 2.276 | 20 | 4 0 0 |
| 2.233 | 77 | 2 4 1 |
| 2.182 | 18 | 0 0 2 |
| 1.848 | 21 | 4 4 0 |
| 1.797 | 20 | 0 4 2 |
| 1.415 | 18 | 2 8 1 |
| 1.410 | 17 | 4 4 2 |
| 1.306 | 13 | 6 4 1 |

Cell and atoms:
a = 9.106 Å, b = 12.666 Å, c = 4.365 Å
α = 90.00°, β = 90.00°, γ = 90.00°
Space group Cmmm (No. 65)
One atom of each set of equivalent atoms:
Nd  0.000  0.245  0.000 (multiplicity 4)
Nd  0.233  0.000  0.500 (multiplicity 4)
Te  0.000  0.500  0.000 (multiplicity 2)
Te  0.250  0.250  0.500 (multiplicity 4)
Au  0.000  0.000  0.000 (multiplicity 2)


Theoretical powder XRD pattern
Compound: RbPuSb2O8
Radiation: Cu Kα
Structure: a DFT-relaxed cell (GGA-PBE, Alexandria)
No peak broadening, texture or thermal motion is included.

Peak list (10 most intense, 2θ from 15° to 90°, low angle first)
| d_spacing | I/Imax | h k l |
| --- | --- | --- |
| 4.092 | 22 | 0 1 1 |
| 3.832 | 75 | 1 1 0 |
| 3.584 | 57 | 1 -1 0 |
| 2.780 | 100 | 1 0 2 |
| 2.618 | 33 | 0 2 0 |
| 1.940 | 49 | 2 1 2 |
| 1.873 | 37 | 2 -1 2 |
| 1.623 | 12 | 1 -3 0 |
| 1.541 | 19 | 0 3 2 |
| 1.390 | 12 | 0 2 4 |

Cell and atoms:
a = 5.244 Å, b = 5.249 Å, c = 6.563 Å
α = 89.95°, β = 89.95°, γ = 86.18°
Space group P-1 (No. 2)
One atom of each set of equivalent atoms:
Rb  0.000  0.000  0.000 (multiplicity 1)
Pu  0.000  0.000  0.500 (multiplicity 1)
Sb  0.500  0.500  0.252 (multiplicity 2)
O  0.222  0.778  0.702 (multiplicity 2)
O  0.223  0.779  0.298 (multiplicity 2)
O  0.316  0.317  0.500 (multiplicity 2)
O  0.337  0.339  0.000 (multiplicity 2)


Theoretical powder XRD pattern
Compound: Re2Ni4Rh
Radiation: Cu Kα
Structure: a DFT-relaxed cell (GGA-PBE, Alexandria)
No peak broadening, texture or thermal motion is included.

Peak list (10 most intense, 2θ from 15° to 90°, low angle first)
| d_spacing | I/Imax | h k l |
| --- | --- | --- |
| 4.198 | 39 | 1 0 1 |
| 3.175 | 99 | 1 1 0 |
| 2.245 | 92 | 2 0 0 |
| 2.163 | 23 | 1 1 4 |
| 2.092 | 100 | 1 0 5 |
| 1.588 | 30 | 2 2 0 |
| 1.531 | 73 | 2 1 5 |
| 1.420 | 18 | 3 1 0 |
| 1.265 | 19 | 3 0 5 |
| 1.102 | 26 | 3 2 5 |

Cell and atoms:
a = 4.490 Å, b = 4.490 Å, c = 11.822 Å
α = 90.00°, β = 90.00°, γ = 90.00°
Space group I4/mmm (No. 139)
One atom of each set of equivalent atoms:
Re  0.000  0.000  0.101 (multiplicity 4)
Ni  0.000  0.000  0.295 (multiplicity 4)
Ni  0.000  0.500  0.000 (multiplicity 4)
Rh  0.000  0.000  0.500 (multiplicity 2)


Theoretical powder XRD pattern
Compound: LiPdBr
Radiation: Cu Kα
Structure: a DFT-relaxed cell (GGA-PBE, Alexandria)
No peak broadening, texture or thermal motion is included.

Peak list (10 most intense, 2θ from 15° to 90°, low angle first)
| d_spacing | I/Imax | h k l |
| --- | --- | --- |
| 4.407 | 17 | 2 0 -1 |
| 3.958 | 100 | 2 0 0 |
| 2.883 | 56 | 1 1 -2 |
| 2.393 | 41 | 1 1 2 |
| 2.352 | 31 | 1 1 -3 |
| 2.272 | 28 | 3 1 -2 |
| 2.099 | 25 | 3 1 -3 |
| 1.979 | 15 | 4 0 0 |
| 1.953 | 17 | 1 1 3 |
| 1.682 | 25 | 2 2 0 |

Cell and atoms:
a = 8.822 Å, b = 3.717 Å, c = 9.167 Å
α = 90.00°, β = 116.20°, γ = 90.00°
Space group Cm (No. 8)
One atom of each set of equivalent atoms:
Li  0.000  0.000  0.000 (multiplicity 2)
Li  0.010  0.500  0.270 (multiplicity 2)
Pd  0.250  0.000  0.330 (multiplicity 2)
Pd  0.253  0.500  0.126 (multiplicity 2)
Br  0.262  0.000  0.921 (multiplicity 2)
Br  0.280  0.500  0.529 (multiplicity 2)